For ZnS, DFT lattice parameters and positions (GGA-PBE) gives the computed powder XRD pattern in this record (copper Kα).
Peak positions follow from Bragg's law for the DFT cell and can differ from measured ones.

abc: 3.8583 3.8583 113.3181
angles: 90.00 90.00 120.00
Space group R3m (No. 160, hexagonal axes)
Asymmetric unit:
Zn1 0.0000 0.0000 0.0000 (multiplicity 3)
Zn2 0.0000 0.0000 0.0556 (multiplicity 3)
Zn3 0.0000 0.0000 0.1111 (multiplicity 3)
Zn4 0.0000 0.0000 0.1667 (multiplicity 3)
Zn5 0.0000 0.0000 0.2500 (multiplicity 3)
Zn6 0.0000 0.0000 0.3056 (multiplicity 3)
Zn7 0.0000 0.0000 0.4167 (multiplicity 3)
Zn8 0.0000 0.0000 0.5278 (multiplicity 3)
Zn9 0.0000 0.0000 0.6111 (multiplicity 3)
Zn10 0.0000 0.0000 0.6945 (multiplicity 3)
Zn11 0.0000 0.0000 0.8056 (multiplicity 3)
Zn12 0.0000 0.0000 0.8889 (multiplicity 3)
S1 0.0000 0.0000 0.0348 (multiplicity 3)
S2 0.0000 0.0000 0.0903 (multiplicity 3)
S3 0.0000 0.0000 0.1459 (multiplicity 3)
S4 0.0000 0.0000 0.2292 (multiplicity 3)
S5 0.0000 0.0000 0.2848 (multiplicity 3)
S6 0.0000 0.0000 0.3958 (multiplicity 3)
S7 0.0000 0.0000 0.5070 (multiplicity 3)
S8 0.0000 0.0000 0.5903 (multiplicity 3)
S9 0.0000 0.0000 0.6736 (multiplicity 3)
S10 0.0000 0.0000 0.7847 (multiplicity 3)
S11 0.0000 0.0000 0.8681 (multiplicity 3)
S12 0.0000 0.0000 0.9792 (multiplicity 3)

Peak list (6 most intense, 2θ = 10–90°, by angle)
| d [Å] | Position (°2θ) | I_rel | index |
| --- | --- | --- | --- |
| 3.205 | 27.8 | 40 | 1 0 10 |
| 3.178 | 28.1 | 63 | 0 1 11 |
| 3.148 | 28.4 | 82 | 0 0 36 |
| 3.022 | 29.6 | 25 | 1 0 16 |
| 1.929 | 47.1 | 100 | 1 1 0 |
| 1.645 | 55.9 | 67 | 1 1 36 |